For RbTe3P, a PBE-relaxed structure gives the computed X-ray diffraction stick pattern in this record (Cu Kα).
Kinematic intensities with the Lorentz-polarization factor, no thermal factor.

Main lines, in order of rising 2θ (2θ from 5° to 70°):
3.887 Å, rel. 51.7, (0 1 2)
3.803 Å, rel. 100.0, (1 1 1)
3.563 Å, rel. 75.5, (1 1 -2)
3.309 Å, rel. 61.3, (1 2 0)
3.252 Å, rel. 47.0, (1 2 -1)
2.877 Å, rel. 88.6, (2 0 -1)
2.770 Å, rel. 55.0, (0 1 3)
2.610 Å, rel. 49.4, (0 3 1)

abc: 5.7739 8.1965 9.0905
angles: 90.00 103.77 90.00
Element x y z (fractional)
Rb  0.0639  0.0000  0.1535
Rb  0.9361  0.5000  0.8465
Te  0.2373  0.6262  0.4498
Te  0.3746  0.8146  0.7105
Te  0.4552  0.2003  0.8887
Te  0.5448  0.7003  0.1113
Te  0.6254  0.3146  0.2895
Te  0.7627  0.1262  0.5502
P  0.3591  0.1074  0.6201
P  0.6409  0.6074  0.3799